Theoretical powder XRD pattern of Mg3Os for a wavelength of 1.5418 Å, from a crystal structure in OQMD, relaxed with PBE.
Lines closer than 0.1° are merged.

Structure:
```
8
Lattice="4.683 0.000 0.000 0.000 5.765 0.000 0.000 0.000 5.083" Properties=species:S:1:pos:R:3 pbc="T T T"
Mg 1.171 0.010 0.846
Mg 1.171 2.873 0.846
Mg 1.171 4.324 3.247
Mg 3.512 1.441 1.837
Mg 3.512 2.892 4.237
Mg 3.512 5.755 4.237
Os 1.171 1.441 3.426
Os 3.512 4.324 1.657
```

Peak list (8 most intense, 2θ = 10–90°, by angle)
Position (°2θ)	I (rel.)
23.3	84
24.5	92
25.9	62
31.0	25
38.4	39
40.4	48
40.8	100
45.5	30

Theoretical powder XRD pattern of YTh for a wavelength of 1.5418 Å, from a crystal structure in OQMD, relaxed with PBE.
Lines closer than 0.1° are merged.

Structure:
```
2
Lattice="3.552 0.000 0.000 -1.776 3.076 0.000 0.000 0.000 5.908" Properties=species:S:1:pos:R:3 pbc="T T T"
Y 0.000 0.000 0.000
Th 0.000 2.051 2.954
```

Peak list (8 most intense, 2θ = 10–90°, by angle)
Position (°2θ)	I (rel.)
15.0	22
29.0	33
30.3	26
32.8	100
42.4	24
51.5	18
55.4	23
60.9	22

Theoretical powder XRD pattern of PmPtO3 for a wavelength of 1.5418 Å, from a crystal structure in OQMD, relaxed with PBE.
Lines closer than 0.1° are merged.

Structure:
```
10
Lattice="2.943 1.699 4.199 -2.943 1.699 4.199 0.000 -3.399 4.199" Properties=species:S:1:pos:R:3 pbc="T T T"
Pm 0.000 0.000 3.149
Pm 0.000 0.000 9.447
Pt 0.000 0.000 0.000
Pt 0.000 0.000 6.298
O -1.794 0.291 5.248
O -1.149 -1.408 7.348
O 0.645 -1.699 5.248
O -0.645 1.699 7.348
O 1.149 1.408 5.248
O 1.794 -0.291 7.348
```

Peak list (8 most intense, 2θ = 10–90°, by angle)
Position (°2θ)	I (rel.)
30.4	100
33.4	85
45.8	42
54.0	27
55.9	42
61.7	15
73.4	17
78.4	16

Theoretical powder XRD pattern of La2NdNiPt2Pb3 for a wavelength of 1.5418 Å, from a crystal structure in OQMD, relaxed with PBE.
Lines closer than 0.1° are merged.

Structure:
```
9
Lattice="4.085 0.000 0.000 0.000 6.845 3.947 0.000 -6.845 3.947" Properties=species:S:1:pos:R:3 pbc="T T T"
La 0.000 -4.034 3.947
La 0.000 4.034 3.947
Nd 0.000 0.000 3.049
Ni 0.000 0.000 6.254
Pt 2.042 -2.279 2.322
Pt 2.042 2.279 2.322
Pb 2.042 0.000 0.320
Pb 2.042 -1.662 5.296
Pb 2.042 1.662 5.296
```

Peak list (8 most intense, 2θ = 10–90°, by angle)
Position (°2θ)	I (rel.)
31.5	100
34.2	77
34.7	75
39.5	31
41.3	43
44.4	27
57.5	36
63.5	31

Theoretical powder XRD pattern of CsAgTeIrSe2 for a wavelength of 1.5418 Å, from a crystal structure in OQMD, relaxed with PBE.
Lines closer than 0.1° are merged.

Structure:
```
12
Lattice="1.941 -8.499 0.000 1.941 8.499 0.000 0.000 0.000 10.482" Properties=species:S:1:pos:R:3 pbc="T T T"
Cs 1.941 4.471 7.861
Cs 1.941 -4.471 2.620
Ag 1.941 0.963 2.620
Ag 1.941 -0.963 7.861
Te 1.941 7.436 2.620
Te 1.941 -7.436 7.861
Ir 0.000 0.000 0.000
Ir 0.000 0.000 5.241
Se 1.941 1.672 0.179
Se 1.941 1.672 5.062
Se 1.941 -1.672 5.419
Se 1.941 -1.672 10.303
```

Peak list (8 most intense, 2θ = 10–90°, by angle)
Position (°2θ)	I (rel.)
10.4	100
19.9	22
29.2	59
32.8	25
34.2	37
35.1	20
38.1	19
39.2	21

Theoretical powder XRD pattern of Hf2ScZn3CuAu2 for a wavelength of 1.5418 Å, from a crystal structure in OQMD, relaxed with PBE.
Lines closer than 0.1° are merged.

Structure:
```
9
Lattice="3.460 0.000 0.000 0.000 6.268 3.628 0.000 -6.268 3.628" Properties=species:S:1:pos:R:3 pbc="T T T"
Hf 0.000 -3.805 3.628
Hf 0.000 3.805 3.628
Sc 0.000 0.000 4.272
Zn 1.730 -1.591 2.355
Zn 1.730 1.591 2.355
Zn 1.730 0.000 6.810
Cu 0.000 0.000 1.382
Au 1.730 -2.102 5.059
Au 1.730 2.102 5.059
```

Peak list (8 most intense, 2θ = 10–90°, by angle)
Position (°2θ)	I (rel.)
14.1	42
24.6	24
35.9	100
37.9	34
38.7	62
43.2	51
46.4	30
70.7	23

Theoretical powder XRD pattern of RbAgSnTe2S for a wavelength of 1.5418 Å, from a crystal structure in OQMD, relaxed with PBE.
Lines closer than 0.1° are merged.

Structure:
```
12
Lattice="2.231 -6.702 0.000 2.231 6.702 0.000 0.000 0.000 11.911" Properties=species:S:1:pos:R:3 pbc="T T T"
Rb 2.231 3.784 8.933
Rb 2.231 -3.784 2.978
Ag 2.231 5.870 2.978
Ag 2.231 -5.870 8.933
Sn 2.231 0.000 0.000
Sn 2.231 0.000 5.956
Te 2.231 4.613 0.396
Te 2.231 4.613 5.560
Te 2.231 -4.613 6.351
Te 2.231 -4.613 11.516
S 2.231 0.349 2.978
S 2.231 -0.349 8.933
```

Peak list (8 most intense, 2θ = 10–90°, by angle)
Position (°2θ)	I (rel.)
28.3	100
29.3	47
30.0	73
32.1	85
40.4	51
41.7	44
43.3	38
51.2	36

Theoretical powder XRD pattern of LaGd2Sn5Pb2 for a wavelength of 1.5418 Å, from a crystal structure in OQMD, relaxed with PBE.
Lines closer than 0.1° are merged.

Structure:
```
10
Lattice="2.329 -12.767 0.000 2.329 12.767 0.000 0.000 0.000 4.674" Properties=species:S:1:pos:R:3 pbc="T T T"
La 0.000 0.000 0.000
Gd 2.329 7.927 0.000
Gd 2.329 -7.927 0.000
Sn 2.329 10.215 2.337
Sn 2.329 5.324 2.337
Sn 2.329 0.000 2.337
Sn 2.329 -5.324 2.337
Sn 2.329 -10.215 2.337
Pb 2.329 2.525 0.000
Pb 2.329 -2.525 0.000
```

Peak list (8 most intense, 2θ = 10–90°, by angle)
Position (°2θ)	I (rel.)
32.3	100
35.1	18
38.5	16
38.7	16
53.1	11
61.3	13
65.8	13
66.0	13

Theoretical powder XRD pattern of KNdAu3Se4 for a wavelength of 1.5418 Å, from a crystal structure in OQMD, relaxed with PBE.
Lines closer than 0.1° are merged.

Structure:
```
9
Lattice="6.619 0.000 0.000 0.000 6.619 0.000 0.000 0.000 6.619" Properties=species:S:1:pos:R:3 pbc="T T T"
K 0.000 0.000 0.000
Nd 3.310 3.310 3.310
Au 0.000 3.310 3.310
Au 3.310 0.000 3.310
Au 3.310 3.310 0.000
Se 1.734 1.734 1.734
Se 1.734 4.885 4.885
Se 4.885 1.734 4.885
Se 4.885 4.885 1.734
```

Peak list (8 most intense, 2θ = 10–90°, by angle)
Position (°2θ)	I (rel.)
13.4	56
23.3	70
26.9	23
30.2	25
38.5	100
40.9	17
45.4	35
69.6	34

Theoretical powder XRD pattern of Tc for a wavelength of 1.5418 Å, from a crystal structure in OQMD, relaxed with PBE.
Lines closer than 0.1° are merged.

Structure:
```
4
Lattice="2.713 0.000 0.000 0.000 4.805 0.000 0.000 0.000 4.413" Properties=species:S:1:pos:R:3 pbc="T T T"
Tc 0.000 0.787 1.103
Tc 0.000 4.017 3.310
Tc 1.357 1.615 3.310
Tc 1.357 3.190 1.103
```

Peak list (8 most intense, 2θ = 10–90°, by angle)
Position (°2θ)	I (rel.)
38.1	26
40.9	41
42.9	55
43.4	100
57.1	16
68.0	17
76.2	18
82.5	20

Theoretical powder XRD pattern of Ba5Er2ZrAl2O13 for a wavelength of 1.5418 Å, from a crystal structure in OQMD, relaxed with PBE.
Lines closer than 0.1° are merged.

Structure:
```
46
Lattice="5.954 0.000 0.000 -2.977 5.156 0.000 0.000 0.000 24.900" Properties=species:S:1:pos:R:3 pbc="T T T"
Ba 0.000 0.000 3.449
Ba 0.000 0.000 9.001
Ba 0.000 0.000 15.898
Ba 0.000 0.000 21.451
Ba 0.000 3.437 1.052
Ba 0.000 3.437 11.398
Ba 0.000 3.437 18.675
Ba 2.977 1.719 6.225
Ba 2.977 1.719 13.502
Ba 2.977 1.719 23.847
Er 0.000 3.437 15.039
Er 0.000 3.437 22.310
Er 2.977 1.719 2.589
Er 2.977 1.719 9.861
Zr 0.000 0.000 0.000
Zr 0.000 0.000 12.450
Al 0.000 3.437 4.505
Al 0.000 3.437 7.945
Al 2.977 1.719 16.955
Al 2.977 1.719 20.395
O -1.448 2.602 3.946
O -1.448 2.602 8.504
O 0.000 1.685 13.710
O 0.000 1.685 23.640
O -1.518 4.314 13.710
O -1.518 4.314 23.640
O 1.459 0.842 1.260
O 1.459 0.842 11.190
O 0.000 3.437 6.225
O 1.448 2.602 3.946
O 1.448 2.602 8.504
O 0.000 5.109 3.946
O 0.000 5.109 8.504
O 2.977 0.047 16.395
O 2.977 0.047 20.954
O 1.529 2.555 16.395
O 1.529 2.555 20.954
O 2.977 1.719 18.675
O 1.518 4.314 13.710
O 1.518 4.314 23.640
O 4.495 0.842 1.260
O 4.495 0.842 11.190
O 2.977 3.472 1.260
O 2.977 3.472 11.190
O 4.425 2.555 16.395
O 4.425 2.555 20.954
```

Peak list (8 most intense, 2θ = 10–90°, by angle)
Position (°2θ)	I (rel.)
17.6	18
27.6	26
30.0	100
30.5	64
43.3	31
53.3	20
53.6	26
62.4	19

Theoretical powder XRD pattern of BaZrAg2O6 for a wavelength of 1.5418 Å, from a crystal structure in OQMD, relaxed with PBE.
Lines closer than 0.1° are merged.

Structure:
```
10
Lattice="3.954 0.000 0.000 0.000 3.954 0.000 0.000 0.000 8.444" Properties=species:S:1:pos:R:3 pbc="T T T"
Ba 0.000 0.000 0.000
Zr 0.000 0.000 4.222
Ag 1.977 1.977 2.168
Ag 1.977 1.977 6.276
O 0.000 1.977 2.734
O 0.000 1.977 5.710
O 1.977 0.000 2.734
O 1.977 0.000 5.710
O 1.977 1.977 0.000
O 1.977 1.977 4.222
```

Peak list (8 most intense, 2θ = 10–90°, by angle)
Position (°2θ)	I (rel.)
31.0	100
32.0	46
42.8	12
45.9	28
54.5	27
56.4	36
64.6	14
88.9	10

Theoretical powder XRD pattern of PrSmSe2F2 for a wavelength of 1.5418 Å, from a crystal structure in OQMD, relaxed with PBE.
Lines closer than 0.1° are merged.

Structure:
```
6
Lattice="3.984 0.000 0.000 0.000 3.984 0.000 0.000 0.000 7.153" Properties=species:S:1:pos:R:3 pbc="T T T"
Pr 0.000 0.000 0.000
Sm 1.992 1.992 3.119
Se 0.000 0.000 4.093
Se 1.992 1.992 6.123
F 0.000 1.992 1.581
F 1.992 0.000 1.581
```

Peak list (8 most intense, 2θ = 10–90°, by angle)
Position (°2θ)	I (rel.)
24.9	37
25.6	53
31.8	100
33.7	74
40.8	69
44.3	46
45.5	52
57.8	31